This entry pairs a crystal structure of SmHo3Ir8 with its theoretical XRD peak list. Radiation: a wavelength of 1.5418 Å. Structure: DFT lattice parameters and positions (PBE).

Structural model:
Unit cell a=5.368 b=5.368 c=8.724 alpha=90.00 beta=90.00 gamma=120.00
Fractional coordinates of all 12 atoms:
1 Sm 0.000 0.000 0.000
2 Ho 0.000 0.000 0.366
3 Ho 0.667 0.333 0.499
4 Ho 0.667 0.333 0.864
5 Ir 0.164 0.327 0.681
6 Ir 0.164 0.836 0.681
7 Ir 0.333 0.667 0.432
8 Ir 0.333 0.667 0.932
9 Ir 0.503 0.007 0.184
10 Ir 0.503 0.497 0.184
11 Ir 0.673 0.836 0.681
12 Ir 0.993 0.497 0.184

Most intense lines, 2θ from 10° to 90°, low angle first:
36.44 deg, intensity 67.5
39.42 deg, intensity 100.0
40.15 deg, intensity 99.9
44.15 deg, intensity 28.3
67.08 deg, intensity 32.3
70.13 deg, intensity 30.9

This entry pairs a crystal structure of Cr2Ni7Rh3 with its theoretical XRD peak list. Radiation: a wavelength of 1.5418 Å. Structure: DFT lattice parameters and positions (PBE).

Structural model:
Unit cell a=2.617 b=4.064 c=13.831 alpha=92.18 beta=95.34 gamma=90.00
Fractional coordinates of all 12 atoms:
1 Cr 0.143 0.222 0.291
2 Cr 0.857 0.778 0.709
3 Ni 0.088 0.710 0.179
4 Ni 0.228 0.243 0.458
5 Ni 0.427 0.790 0.851
6 Ni 0.500 0.500 0.000
7 Ni 0.573 0.210 0.149
8 Ni 0.772 0.757 0.542
9 Ni 0.912 0.290 0.821
10 Rh 0.000 0.000 0.000
11 Rh 0.325 0.271 0.645
12 Rh 0.675 0.729 0.355

Most intense lines, 2θ from 10° to 90°, low angle first:
39.28 deg, intensity 39.4
41.10 deg, intensity 43.1
42.46 deg, intensity 55.6
44.65 deg, intensity 100.0
46.18 deg, intensity 40.1
46.91 deg, intensity 40.4

This entry pairs a crystal structure of SrAlO with its theoretical XRD peak list. Radiation: a wavelength of 1.5418 Å. Structure: DFT lattice parameters and positions (PBE).

Structural model:
Unit cell a=5.056 b=5.055 c=10.091 alpha=90.00 beta=90.39 gamma=90.00
Fractional coordinates of all 12 atoms:
1 Sr 0.246 0.000 0.211
2 Sr 0.254 0.500 0.789
3 Sr 0.746 0.500 0.211
4 Sr 0.754 0.000 0.789
5 Al 0.249 0.500 0.448
6 Al 0.251 0.000 0.552
7 Al 0.749 0.000 0.448
8 Al 0.751 0.500 0.552
9 O 0.247 0.500 0.268
10 O 0.253 0.000 0.732
11 O 0.747 0.000 0.268
12 O 0.753 0.500 0.732

Most intense lines, 2θ from 10° to 90°, low angle first:
17.58 deg, intensity 76.6
26.46 deg, intensity 100.0
30.58 deg, intensity 26.7
30.72 deg, intensity 29.6
35.52 deg, intensity 98.1
51.12 deg, intensity 36.8

This entry pairs a crystal structure of Ag5PbBr12 with its theoretical XRD peak list. Radiation: a wavelength of 1.5418 Å. Structure: DFT lattice parameters and positions (PBE).

Structural model:
Unit cell a=7.215 b=7.215 c=12.803 alpha=92.27 beta=92.27 gamma=122.97
Fractional coordinates of all 18 atoms:
1 Ag 0.000 0.000 0.000
2 Ag 0.159 0.841 0.500
3 Ag 0.333 0.667 0.000
4 Ag 0.667 0.333 0.000
5 Ag 0.841 0.159 0.500
6 Pb 0.500 0.500 0.500
7 Br 0.047 0.380 0.119
8 Br 0.125 0.125 0.363
9 Br 0.147 0.498 0.624
10 Br 0.288 0.288 0.883
11 Br 0.380 0.047 0.119
12 Br 0.498 0.147 0.624
13 Br 0.502 0.853 0.376
14 Br 0.620 0.953 0.881
15 Br 0.712 0.712 0.117
16 Br 0.853 0.502 0.376
17 Br 0.875 0.875 0.637
18 Br 0.953 0.620 0.881

Most intense lines, 2θ from 10° to 90°, low angle first:
13.88 deg, intensity 100.0
27.93 deg, intensity 63.2
31.87 deg, intensity 37.9
33.30 deg, intensity 50.5
36.84 deg, intensity 34.8
45.09 deg, intensity 41.9

What did the first record say?
This entry pairs a crystal structure of SmHo3Ir8 with its theoretical XRD peak list. Radiation: a wavelength of 1.5418 Å. Structure: DFT lattice parameters and positions (PBE).

Structural model:
Unit cell a=5.368 b=5.368 c=8.724 alpha=90.00 beta=90.00 gamma=120.00
Fractional coordinates of all 12 atoms:
1 Sm 0.000 0.000 0.000
2 Ho 0.000 0.000 0.366
3 Ho 0.667 0.333 0.499
4 Ho 0.667 0.333 0.864
5 Ir 0.164 0.327 0.681
6 Ir 0.164 0.836 0.681
7 Ir 0.333 0.667 0.432
8 Ir 0.333 0.667 0.932
9 Ir 0.503 0.007 0.184
10 Ir 0.503 0.497 0.184
11 Ir 0.673 0.836 0.681
12 Ir 0.993 0.497 0.184

Most intense lines, 2θ from 10° to 90°, low angle first:
36.44 deg, intensity 67.5
39.42 deg, intensity 100.0
40.15 deg, intensity 99.9
44.15 deg, intensity 28.3
67.08 deg, intensity 32.3
70.13 deg, intensity 30.9